For TiP2S8Cl2, a crystal structure in the Materials Project, relaxed with PBE gives the simulated powder XRD pattern in this record (CuKα).
Kinematic intensities with the Lorentz-polarization factor, no thermal factor.

Structure:
abc: 7.178 13.041 17.563
angles: 90.00 113.41 90.00
Space group P2_1/c (No. 14)
Unique sites:
Ti1 0.181 0.244 0.467 x4
P1 0.059 0.590 0.663 x4
P2 0.235 0.146 0.132 x4
S1 0.027 0.566 0.369 x4
S2 0.125 0.212 0.597 x4
S3 0.163 0.662 0.588 x4
S4 0.200 0.159 0.847 x4
S5 0.267 0.584 0.789 x4
S6 0.351 0.096 0.053 x4
S7 0.442 0.144 0.259 x4
S8 0.498 0.512 0.769 x4
Cl1 0.015 0.096 0.423 x4
Cl2 0.488 0.182 0.484 x4

Most intense lines, 2θ = 10–90°, low angle first:
| index | 2θ/deg | d [Å] | intensity |
| --- | --- | --- | --- |
| 1 0 -2 | 13.57 | 6.526 | 56 |
| 1 1 -1 | 14.08 | 6.288 | 68 |
| 1 1 0 | 15.07 | 5.880 | 100 |
| 1 1 -2 | 15.18 | 5.837 | 51 |
| 0 2 2 | 17.50 | 5.069 | 86 |
| 1 0 4 | 30.25 | 2.954 | 56 |

For PSeCl9, a crystal structure in the Materials Project, relaxed with PBE gives the simulated powder XRD pattern in this record (CuKα).
Kinematic intensities with the Lorentz-polarization factor, no thermal factor.

Structure:
abc: 17.398 12.309 12.245
angles: 90.00 90.00 90.00
Space group Ima2 (No. 46)
Unique sites:
P1 0.010 0.229 0.000 x8
Se1 0.250 0.029 0.709 x4
Se2 0.250 0.606 0.779 x4
Cl1 0.049 0.635 0.400 x8
Cl2 0.060 0.679 0.083 x8
Cl3 0.070 0.136 0.100 x8
Cl4 0.082 0.181 0.417 x8
Cl5 0.110 0.033 0.715 x8
Cl6 0.111 0.597 0.785 x8
Cl7 0.250 0.082 0.267 x4
Cl8 0.250 0.110 0.883 x4
Cl9 0.250 0.189 0.620 x4
Cl10 0.250 0.568 0.033 x4
Cl11 0.250 0.629 0.601 x4
Cl12 0.250 0.684 0.315 x4

Most intense lines, 2θ = 10–90°, low angle first:
| index | 2θ/deg | d [Å] | intensity |
| --- | --- | --- | --- |
| 1 2 1 | 16.92 | 5.241 | 30 |
| 2 0 2 | 17.69 | 5.013 | 100 |
| 4 0 0 | 20.45 | 4.344 | 66 |
| 3 2 3 | 30.44 | 2.937 | 76 |
| 6 0 0 | 30.85 | 2.899 | 51 |
| 7 2 1 | 39.81 | 2.264 | 26 |

For SnPCl9, a crystal structure in the Materials Project, relaxed with PBE gives the simulated powder XRD pattern in this record (CuKα).
Kinematic intensities with the Lorentz-polarization factor, no thermal factor.

Structure:
abc: 7.416 9.359 10.002
angles: 101.10 96.58 95.16
Space group P-1 (No. 2)
Unique sites:
Sn1 0.111 0.139 0.179 x2
P1 0.450 0.306 0.722 x2
Cl1 0.020 0.729 0.628 x2
Cl2 0.079 0.338 0.058 x2
Cl3 0.124 0.926 0.282 x2
Cl4 0.208 0.981 0.952 x2
Cl5 0.259 0.438 0.731 x2
Cl6 0.345 0.113 0.618 x2
Cl7 0.356 0.616 0.371 x2
Cl8 0.432 0.218 0.256 x2
Cl9 0.447 0.706 0.093 x2

Most intense lines, 2θ = 10–90°, low angle first:
| index | 2θ/deg | d [Å] | intensity |
| --- | --- | --- | --- |
| 1 0 -1 | 14.13 | 6.268 | 54 |
| 1 -1 0 | 14.62 | 6.059 | 100 |
| 1 1 -1 | 16.89 | 5.250 | 85 |
| 1 1 1 | 20.47 | 4.338 | 65 |
| 0 3 -2 | 31.33 | 2.855 | 57 |
| -1 1 3 | 31.62 | 2.830 | 62 |

For SnPCl9, a crystal structure in the Materials Project, relaxed with PBE gives the simulated powder XRD pattern in this record (CuKα).
Kinematic intensities with the Lorentz-polarization factor, no thermal factor.

Structure:
abc: 12.532 17.044 6.744
angles: 90.00 90.00 90.00
Space group Cmme (No. 67)
Unique sites:
Sn1 0.000 0.250 0.107 x4
P1 0.250 0.000 0.500 x4
Cl1 0.000 0.105 0.103 x8
Cl2 0.000 0.250 0.754 x4
Cl3 0.160 0.066 0.669 x16
Cl4 0.167 0.250 0.274 x8

Most intense lines, 2θ = 10–90°, low angle first:
| index | 2θ/deg | d [Å] | intensity |
| --- | --- | --- | --- |
| 0 2 1 | 16.76 | 5.288 | 63 |
| 2 2 0 | 17.57 | 5.048 | 77 |
| 2 0 1 | 19.34 | 4.590 | 100 |
| 1 1 2 | 27.90 | 3.198 | 49 |
| 3 3 1 | 29.67 | 3.011 | 51 |
| 0 6 0 | 31.49 | 2.841 | 55 |

For TaPCl10, a crystal structure in the Materials Project, relaxed with PBE gives the simulated powder XRD pattern in this record (CuKα).
Kinematic intensities with the Lorentz-polarization factor, no thermal factor.

Structure:
abc: 7.358 7.614 14.187
angles: 90.43 91.24 106.42
Space group P-1 (No. 2)
Unique sites:
Ta1 0.000 0.000 0.000 x1
Ta2 0.000 0.000 0.500 x1
P1 0.382 0.591 0.261 x2
Cl1 0.096 0.004 0.160 x2
Cl2 0.110 0.267 0.597 x2
Cl3 0.124 0.829 0.610 x2
Cl4 0.138 0.521 0.194 x2
Cl5 0.225 0.289 0.979 x2
Cl6 0.230 0.849 0.958 x2
Cl7 0.293 0.078 0.422 x2
Cl8 0.343 0.589 0.396 x2
Cl9 0.473 0.165 0.778 x2
Cl10 0.477 0.584 0.772 x2

Most intense lines, 2θ = 10–90°, low angle first:
| index | 2θ/deg | d [Å] | intensity |
| --- | --- | --- | --- |
| 0 1 0 | 12.12 | 7.302 | 49 |
| 1 0 0 | 12.52 | 7.071 | 85 |
| 1 -1 0 | 14.79 | 5.991 | 66 |
| 0 1 -2 | 17.31 | 5.124 | 58 |
| 0 1 2 | 17.53 | 5.058 | 100 |
| 1 0 2 | 17.95 | 4.941 | 55 |

For TePCl9, a crystal structure in the Materials Project, relaxed with PBE gives the simulated powder XRD pattern in this record (CuKα).
Kinematic intensities with the Lorentz-polarization factor, no thermal factor.

Structure:
abc: 17.582 12.488 12.558
angles: 90.00 90.00 90.00
Space group Ima2 (No. 46)
Unique sites:
Te1 0.250 0.030 0.000 x4
Te2 0.250 0.596 0.076 x4
P1 0.010 0.242 0.289 x8
Cl1 0.042 0.649 0.685 x8
Cl2 0.065 0.682 0.375 x8
Cl3 0.074 0.153 0.715 x8
Cl4 0.075 0.151 0.379 x8
Cl5 0.105 0.038 0.007 x8
Cl6 0.105 0.586 0.071 x8
Cl7 0.250 0.097 0.562 x4
Cl8 0.250 0.119 0.173 x4
Cl9 0.250 0.195 0.899 x4
Cl10 0.250 0.574 0.305 x4
Cl11 0.250 0.617 0.886 x4
Cl12 0.250 0.675 0.598 x4

Most intense lines, 2θ = 10–90°, low angle first:
| index | 2θ/deg | d [Å] | intensity |
| --- | --- | --- | --- |
| 1 2 1 | 16.63 | 5.331 | 35 |
| 2 0 2 | 17.38 | 5.102 | 100 |
| 0 2 2 | 20.05 | 4.428 | 42 |
| 4 0 0 | 20.20 | 4.395 | 28 |
| 3 2 3 | 29.86 | 2.993 | 34 |
| 6 0 0 | 30.51 | 2.930 | 32 |